Record 1
The following is a calculated X-ray powder pattern of PaTiAs2. It was derived from the GGA-PBE geometry in Alexandria, using Cu Kα (λ = 1.5418 Å).

Structural model:
```
PaTiAs2
1.0
6.6521 0.0000 0.0000
0.0000 3.8764 0.0000
0.0000 0.0000 12.9310
Pa Ti As
4 4 8
direct
0.0967 0.2500 0.1440
0.4033 0.7500 0.6440
0.5967 0.2500 0.3560
0.9033 0.7500 0.8560
0.0790 0.7500 0.4049
0.4210 0.2500 0.9049
0.5790 0.7500 0.0951
0.9210 0.2500 0.5951
0.1580 0.2500 0.7559
0.2435 0.7500 0.9943
0.2565 0.2500 0.4943
0.3420 0.7500 0.2559
0.6580 0.2500 0.7441
0.7435 0.7500 0.5057
0.7565 0.2500 0.0057
0.8420 0.7500 0.2441
```

The 10 most intense peaks (5° ≤ 2θ ≤ 70°), low angle first:
d/Å  I/Imax
5.915  37
3.617  45
2.974  100
2.645  67
2.633  30
2.524  38
2.152  40
2.042  28
1.938  29
1.904  38

Record 2
The following is a calculated X-ray powder pattern of U3Pa5As8. It was derived from the GGA-PBE geometry in Alexandria, using Cu Kα (λ = 1.5418 Å).

Structural model:
```
U3Pa5As8
1.0
4.0775 2.3542 6.7213
-4.0775 2.3542 6.7213
0.0000 -4.7083 6.7213
U Pa As
3 5 8
direct
0.0000 0.5000 0.5000
0.5000 0.0000 0.5000
0.5000 0.5000 0.0000
0.0000 0.0000 0.0000
0.0000 0.0000 0.5000
0.0000 0.5000 0.0000
0.5000 0.0000 0.0000
0.5000 0.5000 0.5000
0.2502 0.2502 0.2502
0.2500 0.2500 0.7494
0.2500 0.7494 0.2500
0.2506 0.7500 0.7500
0.7494 0.2500 0.2500
0.7500 0.2506 0.7500
0.7500 0.7500 0.2506
0.7498 0.7498 0.7498
```

The 10 most intense peaks (5° ≤ 2θ ≤ 70°), low angle first:
d/Å  I/Imax
3.361  11
3.333  34
2.892  100
2.052  38
2.039  37
1.751  6
1.743  12
1.680  7
1.666  20
1.446  13

Record 3
The following is a calculated X-ray powder pattern of UPa2As3. It was derived from the GGA-PBE geometry in Alexandria, using Cu Kα (λ = 1.5418 Å).

Structural model:
```
UPa2As3
1.0
4.0761 0.0000 0.0000
0.0000 5.7814 0.0000
0.0000 0.0000 12.3229
U Pa As
2 4 6
direct
0.0000 0.0000 0.0000
0.5000 0.5000 0.5000
0.0000 0.0000 0.3333
0.0000 0.0000 0.6667
0.5000 0.5000 0.1667
0.5000 0.5000 0.8333
0.0000 0.5000 0.0000
0.0000 0.5000 0.3336
0.0000 0.5000 0.6664
0.5000 0.0000 0.1664
0.5000 0.0000 0.5000
0.5000 0.0000 0.8336
```

The 10 most intense peaks (5° ≤ 2θ ≤ 70°), low angle first:
d/Å  I/Imax
3.349  23
3.331  22
2.892  100
2.054  13
2.045  50
2.038  12
1.748  8
1.674  14
1.666  13
1.446  13

Record 4
The following is a calculated X-ray powder pattern of PaVAs2. It was derived from the GGA-PBE geometry in Alexandria, using Cu Kα (λ = 1.5418 Å).

Structural model:
```
PaVAs2
1.0
6.6547 0.0000 0.0000
0.0000 6.6547 0.0000
0.0000 0.0000 6.6547
Pa V As
4 4 8
direct
0.0000 0.0000 0.0000
0.0000 0.5000 0.5000
0.5000 0.0000 0.5000
0.5000 0.5000 0.0000
0.0000 0.0000 0.5000
0.0000 0.5000 0.0000
0.5000 0.0000 0.0000
0.5000 0.5000 0.5000
0.2500 0.2500 0.2500
0.2500 0.2500 0.7500
0.2500 0.7500 0.2500
0.2500 0.7500 0.7500
0.7500 0.2500 0.2500
0.7500 0.2500 0.7500
0.7500 0.7500 0.2500
0.7500 0.7500 0.7500
```

The 9 most intense peaks (5° ≤ 2θ ≤ 70°), low angle first:
d/Å  I/Imax
3.842  39
3.327  10
2.353  100
2.006  22
1.921  3
1.664  17
1.527  9
1.488  4
1.358  35